K2CaNd4Nb2O12: theoretical powder diffraction line list (Cu Kα), based on a crystal structure in the Materials Project, relaxed with GGA-PBE.
Lines closer than 0.1° are merged.

Cell and atoms:
```
K2CaNd4Nb2O12
1.0
5.8984 0.0000 0.0000
2.7250 6.4766 0.0000
0.5762 2.1303 8.6586
K Ca Nd Nb O
2 1 4 2 12
Direct
0.0000 0.0000 0.0000
0.1293 0.5742 0.8354
0.4356 0.3780 0.1042
0.2353 0.5149 0.4297
0.5788 0.8739 0.2908
0.6700 0.5863 0.6843
0.9714 0.0537 0.5296
0.4364 0.0889 0.7716
0.8757 0.4116 0.1909
0.1050 0.2964 0.6566
0.2011 0.2232 0.2998
0.3165 0.8691 0.7712
0.3508 0.7724 0.4896
0.4217 0.1278 0.9742
0.4911 0.6158 0.2080
0.5511 0.3159 0.6356
0.7508 0.4339 0.9674
0.7562 0.1598 0.2752
0.7670 0.9001 0.7514
0.8681 0.7535 0.4940
0.9653 0.6515 0.1825
```

Largest 8 diffraction maxima, in order of falling intensity, 2θ from 5° to 70°:
2θ = 28.89°, d 3.091, rel. 100; 2θ = 10.22°, d 8.659, rel. 95; 2θ = 26.76°, d 3.331, rel. 85; 2θ = 25.94°, d 3.435, rel. 83; 2θ = 29.79°, d 3.000, rel. 61; 2θ = 30.41°, d 2.939, rel. 59; 2θ = 43.21°, d 2.094, rel. 51; 2θ = 26.32°, d 3.386, rel. 46

Ca5C2N6: theoretical powder diffraction line list (Cu Kα), based on a crystal structure in the Materials Project, relaxed with GGA-PBE.
Lines closer than 0.1° are merged.

Cell and atoms:
```
Ca5C2N6
1.0
4.5939 -2.9583 0.0000
4.5939 2.9583 0.0000
-1.9357 0.0000 12.1096
Ca C N
10 4 12
Direct
0.0925 0.9075 0.7500
0.1780 0.7039 0.0062
0.2901 0.4041 0.2919
0.2961 0.8220 0.4938
0.4041 0.2901 0.7919
0.5959 0.7099 0.2081
0.7039 0.1780 0.5062
0.7099 0.5959 0.7081
0.8220 0.2961 0.9938
0.9075 0.0925 0.2500
0.1309 0.4170 0.5759
0.4170 0.1309 0.0759
0.5830 0.8691 0.9241
0.8691 0.5830 0.4241
0.0929 0.2227 0.6408
0.1398 0.3208 0.4517
0.2227 0.0929 0.1408
0.3208 0.1398 0.9517
0.3504 0.4931 0.6247
0.4931 0.3504 0.1247
0.5069 0.6496 0.8753
0.6496 0.5069 0.3753
0.6792 0.8602 0.0483
0.7773 0.9071 0.8592
0.8602 0.6792 0.5483
0.9071 0.7773 0.3592
```

Largest 8 diffraction maxima, in order of falling intensity, 2θ from 5° to 70°:
2θ = 33.72°, d 2.658, rel. 100; 2θ = 35.14°, d 2.554, rel. 79; 2θ = 37.45°, d 2.401, rel. 75; 2θ = 33.29°, d 2.691, rel. 54; 2θ = 38.26°, d 2.353, rel. 49; 2θ = 29.51°, d 3.027, rel. 42; 2θ = 38.45°, d 2.341, rel. 40; 2θ = 37.70°, d 2.386, rel. 40

MgSn2: theoretical powder diffraction line list (Cu Kα), based on a crystal structure in the Materials Project, relaxed with GGA-PBE.
Lines closer than 0.1° are merged.

Cell and atoms:
```
MgSn2
1.0
9.6901 0.0000 0.0000
0.0000 5.8449 0.0000
-3.9426 0.0000 5.4617
Mg Sn
4 8
Direct
0.0000 0.0862 0.2500
0.0000 0.9138 0.7500
0.5000 0.4138 0.7500
0.5000 0.5862 0.2500
0.1650 0.4066 0.7423
0.1650 0.5934 0.2423
0.3350 0.0934 0.2577
0.3350 0.9066 0.7577
0.6650 0.0934 0.2423
0.6650 0.9066 0.7423
0.8350 0.4066 0.7577
0.8350 0.5934 0.2577
```

Largest 8 diffraction maxima, in order of falling intensity, 2θ from 5° to 70°:
2θ = 34.82°, d 2.577, rel. 100; 2θ = 34.20°, d 2.622, rel. 87; 2θ = 37.64°, d 2.390, rel. 72; 2θ = 32.80°, d 2.731, rel. 69; 2θ = 18.92°, d 4.690, rel. 47; 2θ = 31.86°, d 2.809, rel. 45; 2θ = 55.18°, d 1.665, rel. 31; 2θ = 63.45°, d 1.466, rel. 31

ZrTe3O8: theoretical powder diffraction line list (Cu Kα), based on a crystal structure in the Materials Project, relaxed with GGA-PBE.
Lines closer than 0.1° are merged.

Cell and atoms:
```
ZrTe3O8
1.0
-5.7974 5.7974 5.7974
5.7974 -5.7974 5.7974
5.7974 5.7974 -5.7974
Zr Te O
4 12 32
Direct
0.0000 0.0000 0.5000
0.0000 0.5000 0.0000
0.5000 0.0000 0.0000
0.5000 0.5000 0.5000
0.0516 0.2500 0.3016
0.1984 0.4484 0.7500
0.2500 0.3016 0.0516
0.2500 0.8016 0.5516
0.3016 0.0516 0.2500
0.4484 0.7500 0.1984
0.5516 0.2500 0.8016
0.6984 0.9484 0.7500
0.7500 0.1984 0.4484
0.7500 0.6984 0.9484
0.8016 0.5516 0.2500
0.9484 0.7500 0.6984
0.0000 0.3310 0.5000
0.0000 0.6690 0.5000
0.0310 0.4546 0.7947
0.0454 0.0764 0.3401
0.0764 0.3401 0.0454
0.1599 0.2363 0.7053
0.1690 0.1690 0.1690
0.2053 0.9690 0.5454
0.2363 0.7053 0.1599
0.2637 0.4236 0.4690
0.2947 0.8401 0.7637
0.3310 0.5000 0.0000
0.3401 0.0454 0.0764
0.4236 0.4690 0.2637
0.4546 0.7947 0.0310
0.4690 0.2637 0.4236
0.5000 0.0000 0.3310
0.5000 0.0000 0.6690
0.5310 0.7363 0.5764
0.5454 0.2053 0.9690
0.5764 0.5310 0.7363
0.6599 0.9546 0.9236
0.6690 0.5000 0.0000
0.7053 0.1599 0.2363
0.7363 0.5764 0.5310
0.7637 0.2947 0.8401
0.7947 0.0310 0.4546
0.8310 0.8310 0.8310
0.8401 0.7637 0.2947
0.9236 0.6599 0.9546
0.9546 0.9236 0.6599
0.9690 0.5454 0.2053
```

Largest 8 diffraction maxima, in order of falling intensity, 2θ from 5° to 70°:
2θ = 26.63°, d 3.347, rel. 100; 2θ = 18.75°, d 4.734, rel. 41; 2θ = 30.85°, d 2.899, rel. 31; 2θ = 28.81°, d 3.099, rel. 27; 2θ = 44.19°, d 2.050, rel. 26; 2θ = 52.34°, d 1.748, rel. 21; 2θ = 32.77°, d 2.733, rel. 18; 2θ = 39.63°, d 2.274, rel. 14

LiZnSb: theoretical powder diffraction line list (Cu Kα), based on a crystal structure in the Materials Project, relaxed with GGA-PBE.
Lines closer than 0.1° are merged.

Cell and atoms:
```
LiZnSb
1.0
4.4648 0.0000 0.0000
-2.2324 3.8666 0.0000
0.0000 0.0000 7.2381
Li Zn Sb
2 2 2
Direct
0.0000 0.0000 0.0000
0.0000 0.0000 0.5000
0.3333 0.6667 0.3373
0.6667 0.3333 0.8373
0.3333 0.6667 0.7199
0.6667 0.3333 0.2199
```

Largest 8 diffraction maxima, in order of falling intensity, 2θ from 5° to 70°:
2θ = 40.40°, d 2.232, rel. 100; 2θ = 23.00°, d 3.867, rel. 94; 2θ = 44.25°, d 2.047, rel. 89; 2θ = 26.13°, d 3.410, rel. 86; 2θ = 24.60°, d 3.619, rel. 64; 2θ = 47.88°, d 1.900, rel. 62; 2θ = 33.93°, d 2.642, rel. 51; 2θ = 69.32°, d 1.356, rel. 38

EuHSO5: theoretical powder diffraction line list (Cu Kα), based on a crystal structure in the Materials Project, relaxed with GGA-PBE.
Lines closer than 0.1° are merged.

Cell and atoms:
```
EuHSO5
1.0
4.5240 0.0000 0.0000
0.0000 12.4919 0.0000
-2.5443 0.0000 6.6902
Eu H S O
4 4 4 20
Direct
0.1633 0.0615 0.3009
0.1633 0.4385 0.8009
0.8367 0.5615 0.1991
0.8367 0.9385 0.6991
0.2149 0.6551 0.9842
0.2149 0.8449 0.4842
0.7851 0.1551 0.5158
0.7851 0.3449 0.0158
0.4120 0.1476 0.8918
0.4120 0.3524 0.3918
0.5880 0.6476 0.6082
0.5880 0.8524 0.1082
0.2011 0.0711 0.9503
0.2011 0.4289 0.4503
0.2368 0.5833 0.0439
0.2368 0.9167 0.5439
0.2399 0.2502 0.3283
0.2399 0.2498 0.8283
0.2969 0.6667 0.4353
0.2969 0.8333 0.9353
0.4795 0.1000 0.7213
0.4795 0.4000 0.2213
0.5205 0.6000 0.7787
0.5205 0.9000 0.2787
0.7031 0.1667 0.0647
0.7031 0.3333 0.5647
0.7601 0.7502 0.1717
0.7601 0.7498 0.6717
0.7632 0.0833 0.4561
0.7632 0.4167 0.9561
0.7989 0.5711 0.5497
0.7989 0.9289 0.0497
```

Largest 8 diffraction maxima, in order of falling intensity, 2θ from 5° to 70°:
2θ = 14.18°, d 6.246, rel. 100; 2θ = 27.50°, d 3.244, rel. 70; 2θ = 31.62°, d 2.830, rel. 63; 2θ = 29.60°, d 3.018, rel. 62; 2θ = 19.44°, d 4.566, rel. 48; 2θ = 40.56°, d 2.224, rel. 45; 2θ = 30.12°, d 2.967, rel. 44; 2θ = 48.53°, d 1.876, rel. 42

Ge2Sb2Te5: theoretical powder diffraction line list (Cu Kα), based on a crystal structure in the Materials Project, relaxed with GGA-PBE.
Lines closer than 0.1° are merged.

Cell and atoms:
```
Ge2Sb2Te5
1.0
4.2648 0.0000 0.0000
-2.1324 3.6935 0.0000
0.0000 0.0000 17.9991
Ge Sb Te
2 2 5
Direct
0.0000 0.0000 0.1677
0.0000 0.0000 0.8323
0.3333 0.6667 0.6127
0.6667 0.3333 0.3873
0.0000 0.0000 0.5000
0.3333 0.6667 0.2901
0.3333 0.6667 0.9110
0.6667 0.3333 0.0890
0.6667 0.3333 0.7099
```

Largest 8 diffraction maxima, in order of falling intensity, 2θ from 5° to 70°:
2θ = 28.38°, d 3.145, rel. 100; 2θ = 42.39°, d 2.132, rel. 37; 2θ = 38.67°, d 2.329, rel. 31; 2θ = 51.80°, d 1.765, rel. 18; 2θ = 69.08°, d 1.360, rel. 15; 2θ = 42.85°, d 2.110, rel. 11; 2θ = 58.71°, d 1.573, rel. 9; 2θ = 63.81°, d 1.459, rel. 8

DyAu6: theoretical powder diffraction line list (Cu Kα), based on a crystal structure in the Materials Project, relaxed with GGA-PBE.
Lines closer than 0.1° are merged.

Cell and atoms:
```
DyAu6
1.0
10.5140 0.0000 0.0000
0.0000 10.5140 0.0000
0.0000 0.0000 9.9355
Dy Au
8 48
Direct
0.0755 0.0755 0.2119
0.0755 0.4245 0.7119
0.4245 0.0755 0.7119
0.4245 0.4245 0.2119
0.5755 0.5755 0.7881
0.5755 0.9245 0.2881
0.9245 0.5755 0.2881
0.9245 0.9245 0.7881
0.0000 0.0000 0.5000
0.0000 0.5000 0.0000
0.0130 0.6799 0.5793
0.0130 0.8201 0.0793
0.1228 0.7000 0.8551
0.1228 0.8000 0.3551
0.1472 0.1472 0.6794
0.1472 0.3528 0.1794
0.1799 0.5130 0.4207
0.1799 0.9870 0.9207
0.2000 0.6228 0.1449
0.2000 0.8772 0.6449
0.2500 0.2500 0.4324
0.2500 0.2500 0.9324
0.3000 0.6228 0.6449
0.3000 0.8772 0.1449
0.3201 0.5130 0.9207
0.3201 0.9870 0.4207
0.3528 0.1472 0.1794
0.3528 0.3528 0.6794
0.3772 0.7000 0.3551
0.3772 0.8000 0.8551
0.4870 0.6799 0.0793
0.4870 0.8201 0.5793
0.5000 0.0000 0.0000
0.5000 0.5000 0.5000
0.5130 0.1799 0.4207
0.5130 0.3201 0.9207
0.6228 0.2000 0.1449
0.6228 0.3000 0.6449
0.6472 0.6472 0.3206
0.6472 0.8528 0.8206
0.6799 0.0130 0.5793
0.6799 0.4870 0.0793
0.7000 0.1228 0.8551
0.7000 0.3772 0.3551
0.7500 0.7500 0.0676
0.7500 0.7500 0.5676
0.8000 0.1228 0.3551
0.8000 0.3772 0.8551
0.8201 0.0130 0.0793
0.8201 0.4870 0.5793
0.8528 0.6472 0.8206
0.8528 0.8528 0.3206
0.8772 0.2000 0.6449
0.8772 0.3000 0.1449
0.9870 0.1799 0.9207
0.9870 0.3201 0.4207
```

Largest 8 diffraction maxima, in order of falling intensity, 2θ from 5° to 70°:
2θ = 39.73°, d 2.269, rel. 100; 2θ = 37.40°, d 2.405, rel. 76; 2θ = 36.37°, d 2.470, rel. 69; 2θ = 38.36°, d 2.346, rel. 49; 2θ = 37.19°, d 2.417, rel. 45; 2θ = 38.76°, d 2.323, rel. 32; 2θ = 36.23°, d 2.480, rel. 30; 2θ = 33.08°, d 2.708, rel. 22

BiTe: theoretical powder diffraction line list (Cu Kα), based on a crystal structure in the Materials Project, relaxed with GGA-PBE.
Lines closer than 0.1° are merged.

Cell and atoms:
```
BiTe
1.0
6.5066 0.0000 0.0000
0.0000 6.5066 0.0000
0.0000 0.0000 6.5066
Bi Te
4 4
Direct
0.0000 0.0000 0.0000
0.0000 0.5000 0.5000
0.5000 0.0000 0.5000
0.5000 0.5000 0.0000
0.0000 0.0000 0.5000
0.0000 0.5000 0.0000
0.5000 0.0000 0.0000
0.5000 0.5000 0.5000
```

Largest 8 diffraction maxima, in order of falling intensity, 2θ from 5° to 70°:
2θ = 27.41°, d 3.253, rel. 100; 2θ = 39.16°, d 2.300, rel. 79; 2θ = 63.99°, d 1.455, rel. 38; 2θ = 48.46°, d 1.878, rel. 29; 2θ = 56.58°, d 1.627, rel. 14; 2θ = 23.68°, d 3.757, rel. 11; 2θ = 46.28°, d 1.962, rel. 7; 2θ = 62.19°, d 1.493, rel. 3

MgTi2O4: theoretical powder diffraction line list (Cu Kα), based on a crystal structure in the Materials Project, relaxed with GGA-PBE.
Lines closer than 0.1° are merged.

Cell and atoms:
```
MgTi2O4
1.0
4.1149 0.0000 0.0000
0.0000 4.1149 0.0000
0.0000 0.0000 8.4646
Mg Ti O
2 4 8
Direct
0.0000 0.0000 0.0000
0.5000 0.5000 0.5000
0.0000 0.0000 0.5000
0.0000 0.5000 0.7500
0.5000 0.0000 0.2500
0.5000 0.5000 0.0000
0.0000 0.0000 0.2496
0.0000 0.0000 0.7504
0.0000 0.5000 0.5049
0.0000 0.5000 0.9951
0.5000 0.0000 0.0049
0.5000 0.0000 0.4951
0.5000 0.5000 0.2504
0.5000 0.5000 0.7496
```

Largest 8 diffraction maxima, in order of falling intensity, 2θ from 5° to 70°:
2θ = 44.01°, d 2.057, rel. 100; 2θ = 24.05°, d 3.701, rel. 94; 2θ = 63.01°, d 1.475, rel. 57; 2θ = 42.73°, d 2.116, rel. 55; 2θ = 37.51°, d 2.398, rel. 29; 2θ = 64.00°, d 1.455, rel. 27; 2θ = 38.69°, d 2.327, rel. 21; 2θ = 50.77°, d 1.798, rel. 21